Entry 1:
Diffraction record for Sm2Y2Ho7. The powder XRD pattern is calculated, not measured: it uses a DFT-relaxed cell (PBE, Alexandria) and Cu Kα X-rays.
Kinematic intensities with the Lorentz-polarization factor, no thermal factor.

Principal peaks in the range 10 to 90 degrees two-theta, low angle first:
| two_theta | intensity | index |
| --- | --- | --- |
| 29.76 | 46 | 3 3 0 |
| 30.61 | 38 | 0 4 1 |
| 31.71 | 100 | 2 2 1 |
| 32.42 | 52 | 2 6 0 |
| 34.74 | 37 | 1 5 1 |
| 35.49 | 38 | 4 0 0 |

Atomic structure:
Unit cell a=10.116 b=19.780 c=3.620 alpha=90.00 beta=90.00 gamma=90.00
Space group Cmmm (No. 65)
Inequivalent atoms, fractional coordinates:
Sm 0.227 0.000 0.000 [4 per cell]
Y 0.000 0.224 0.000 [4 per cell]
Ho 0.000 0.085 0.500 [4 per cell]
Ho 0.000 0.500 0.500 [2 per cell]
Ho 0.201 0.338 0.500 [8 per cell]


Entry 2:
Diffraction record for Dy5TmSc5. The powder XRD pattern is calculated, not measured: it uses a DFT-relaxed cell (PBE, Alexandria) and Cu Kα X-rays.
Kinematic intensities with the Lorentz-polarization factor, no thermal factor.

Principal peaks in the range 10 to 90 degrees two-theta, low angle first:
| two_theta | intensity | index |
| --- | --- | --- |
| 29.77 | 100 | 1 0 3 |
| 30.99 | 87 | 1 1 0 |
| 32.02 | 25 | 1 1 1 |
| 39.41 | 18 | 1 1 3 |
| 43.51 | 24 | 2 0 3 |
| 54.37 | 37 | 2 1 3 |

Atomic structure:
Unit cell a=5.7711 b=5.7711 c=11.2576 alpha=90.00 beta=90.00 gamma=120.00
Space group P-6m2 (No. 187)
Inequivalent atoms, fractional coordinates:
Dy 0.0000 0.0000 0.0000 [1 per cell]
Dy 0.3333 0.6667 0.3177 [2 per cell]
Dy 0.6667 0.3333 0.1591 [2 per cell]
Tm 0.3333 0.6667 0.0000 [1 per cell]
Sc 0.0000 0.0000 0.2691 [2 per cell]
Sc 0.3292 0.1646 0.5000 [3 per cell]


Entry 3:
Diffraction record for TlHg3Bi2. The powder XRD pattern is calculated, not measured: it uses a DFT-relaxed cell (PBE, Alexandria) and Cu Kα X-rays.
Kinematic intensities with the Lorentz-polarization factor, no thermal factor.

Principal peaks in the range 10 to 90 degrees two-theta, low angle first:
| two_theta | intensity | index |
| --- | --- | --- |
| 31.56 | 100 | 0 2 3 |
| 32.36 | 87 | 2 2 -1 |
| 32.80 | 43 | 2 0 2 |
| 35.39 | 40 | 2 0 -4 |
| 47.89 | 17 | 0 0 6 |
| 54.67 | 17 | 2 4 2 |

Atomic structure:
Unit cell a=7.298 b=8.518 c=11.738 alpha=90.00 beta=103.84 gamma=90.00
Space group C2/c (No. 15)
Inequivalent atoms, fractional coordinates:
Tl 0.000 0.141 0.250 [4 per cell]
Hg 0.000 0.413 0.750 [4 per cell]
Hg 0.176 0.389 0.082 [8 per cell]
Bi 0.123 0.154 0.573 [8 per cell]


Entry 4:
Diffraction record for PmPrNdDy. The powder XRD pattern is calculated, not measured: it uses a DFT-relaxed cell (PBE, Alexandria) and Cu Kα X-rays.
Kinematic intensities with the Lorentz-polarization factor, no thermal factor.

Principal peaks in the range 10 to 90 degrees two-theta, low angle first:
| two_theta | intensity | index |
| --- | --- | --- |
| 29.99 | 100 | 1 1 2 |
| 34.77 | 51 | 2 0 0 |
| 49.99 | 36 | 2 2 0 |
| 59.40 | 43 | 3 1 2 |
| 81.25 | 18 | 3 3 2 |
| 83.83 | 16 | 4 2 0 |

Atomic structure:
Unit cell a=5.162 b=5.162 c=10.317 alpha=90.00 beta=90.00 gamma=90.00
Space group I-4m2 (No. 119)
Inequivalent atoms, fractional coordinates:
Pm 0.000 0.000 0.000 [2 per cell]
Pr 0.000 0.500 0.250 [2 per cell]
Nd 0.000 0.000 0.500 [2 per cell]
Dy 0.000 0.500 0.750 [2 per cell]


Entry 5:
Diffraction record for Li4HgTe3. The powder XRD pattern is calculated, not measured: it uses a DFT-relaxed cell (PBE, Alexandria) and Cu Kα X-rays.
Kinematic intensities with the Lorentz-polarization factor, no thermal factor.

Principal peaks in the range 10 to 90 degrees two-theta, low angle first:
| two_theta | intensity | index |
| --- | --- | --- |
| 15.50 | 42 | 1 1 -1 |
| 19.32 | 56 | 2 0 -2 |
| 22.43 | 100 | 1 1 -2 |
| 35.95 | 44 | 4 2 -2 |
| 40.07 | 58 | 4 0 2 |
| 42.22 | 40 | 3 3 0 |

Atomic structure:
Unit cell a=14.791 b=7.300 c=9.484 alpha=90.00 beta=114.14 gamma=90.00
Space group Cc (No. 9)
Inequivalent atoms, fractional coordinates:
Li 0.000 0.152 0.000 [4 per cell]
Li 0.126 0.317 0.702 [4 per cell]
Li 0.372 0.345 0.076 [4 per cell]
Li 0.454 0.203 0.800 [4 per cell]
Hg 0.261 0.164 0.366 [4 per cell]
Te 0.081 0.006 0.305 [4 per cell]
Te 0.304 0.491 0.778 [4 per cell]
Te 0.446 0.007 0.049 [4 per cell]


Entry 6:
Diffraction record for Sm3BeGe2. The powder XRD pattern is calculated, not measured: it uses a DFT-relaxed cell (PBE, Alexandria) and Cu Kα X-rays.
Kinematic intensities with the Lorentz-polarization factor, no thermal factor.

Principal peaks in the range 10 to 90 degrees two-theta, low angle first:
| two_theta | intensity | index |
| --- | --- | --- |
| 27.54 | 78 | 3 0 2 |
| 30.58 | 53 | 2 1 2 |
| 31.44 | 100 | 0 1 3 |
| 31.68 | 52 | 4 0 1 |
| 32.57 | 70 | 3 1 1 |
| 43.84 | 47 | 0 2 0 |

Atomic structure:
Unit cell a=11.636 b=4.131 c=11.778 alpha=90.00 beta=90.00 gamma=90.00
Space group Pnma (No. 62)
Inequivalent atoms, fractional coordinates:
Sm 0.066 0.250 0.119 [4 per cell]
Sm 0.119 0.750 0.559 [4 per cell]
Sm 0.202 0.250 0.796 [4 per cell]
Be 0.136 0.250 0.362 [4 per cell]
Ge 0.037 0.750 0.317 [4 per cell]
Ge 0.198 0.750 0.984 [4 per cell]


Entry 7:
Diffraction record for PtRh. The powder XRD pattern is calculated, not measured: it uses a DFT-relaxed cell (PBE, Alexandria) and Cu Kα X-rays.
Kinematic intensities with the Lorentz-polarization factor, no thermal factor.

Principal peaks in the range 10 to 90 degrees two-theta, low angle first:
| two_theta | intensity | index |
| --- | --- | --- |
| 37.82 | 29 | 2 0 2 |
| 39.25 | 34 | 4 0 -2 |
| 42.69 | 21 | 0 0 3 |
| 42.84 | 100 | 3 1 0 |
| 68.23 | 13 | 3 1 3 |
| 81.81 | 16 | 4 2 -2 |

Atomic structure:
Unit cell a=10.328 b=2.742 c=6.629 alpha=90.00 beta=106.56 gamma=90.00
Space group Cm (No. 8)
Inequivalent atoms, fractional coordinates:
Pt 0.000 0.000 0.000 [2 per cell]
Pt 0.054 0.000 0.614 [2 per cell]
Pt 0.171 0.500 0.336 [2 per cell]
Rh 0.227 0.500 0.947 [2 per cell]
Rh 0.332 0.000 0.670 [2 per cell]
Rh 0.388 0.000 0.276 [2 per cell]


Entry 8:
Diffraction record for Pr4Bi8Pd3. The powder XRD pattern is calculated, not measured: it uses a DFT-relaxed cell (PBE, Alexandria) and Cu Kα X-rays.
Kinematic intensities with the Lorentz-polarization factor, no thermal factor.

Principal peaks in the range 10 to 90 degrees two-theta, low angle first:
| two_theta | intensity | index |
| --- | --- | --- |
| 27.44 | 22 | 0 0 6 |
| 28.42 | 36 | 1 1 2 |
| 32.65 | 100 | 1 1 4 |
| 38.38 | 51 | 2 0 0 |
| 47.83 | 20 | 2 0 6 |
| 65.81 | 27 | 3 1 4 |

Atomic structure:
Unit cell a=4.690 b=4.690 c=19.504 alpha=90.00 beta=90.00 gamma=90.00
Space group P-4m2 (No. 115)
Inequivalent atoms, fractional coordinates:
Pr 0.000 0.500 0.112 [2 per cell]
Pr 0.000 0.500 0.618 [2 per cell]
Bi 0.000 0.000 0.248 [2 per cell]
Bi 0.000 0.500 0.418 [2 per cell]
Bi 0.000 0.500 0.924 [2 per cell]
Bi 0.500 0.500 0.248 [2 per cell]
Pd 0.000 0.000 0.000 [1 per cell]
Pd 0.000 0.000 0.500 [1 per cell]
Pd 0.500 0.500 0.500 [1 per cell]


Entry 9:
Diffraction record for Ni21P6Pd2. The powder XRD pattern is calculated, not measured: it uses a DFT-relaxed cell (PBE, Alexandria) and Cu Kα X-rays.
Kinematic intensities with the Lorentz-polarization factor, no thermal factor.

Principal peaks in the range 10 to 90 degrees two-theta, low angle first:
| two_theta | intensity | index |
| --- | --- | --- |
| 36.36 | 30 | 4 2 0 |
| 39.97 | 34 | 4 2 2 |
| 42.51 | 100 | 3 3 3 |
| 46.49 | 43 | 4 4 0 |
| 48.76 | 30 | 5 3 1 |
| 72.60 | 26 | 6 6 0 |

Atomic structure:
Unit cell a=11.050 b=11.050 c=11.050 alpha=90.00 beta=90.00 gamma=90.00
Space group Fm-3m (No. 225)
Inequivalent atoms, fractional coordinates:
Ni 0.000 0.000 0.000 [4 per cell]
Ni 0.000 0.173 0.173 [48 per cell]
Ni 0.117 0.117 0.383 [32 per cell]
P 0.000 0.000 0.266 [24 per cell]
Pd 0.250 0.250 0.250 [8 per cell]


Entry 10:
Diffraction record for K2PaZn2O6. The powder XRD pattern is calculated, not measured: it uses a DFT-relaxed cell (PBE, Alexandria) and Cu Kα X-rays.
Kinematic intensities with the Lorentz-polarization factor, no thermal factor.

Principal peaks in the range 10 to 90 degrees two-theta, low angle first:
| two_theta | intensity | index |
| --- | --- | --- |
| 13.92 | 100 | 0 0 1 |
| 23.15 | 64 | 1 0 1 |
| 28.04 | 27 | 0 0 2 |
| 32.18 | 60 | 1 1 0 |
| 35.21 | 45 | 2 -1 1 |
| 43.20 | 77 | 2 -1 2 |

Atomic structure:
Unit cell a=5.5636 b=5.5636 c=6.3639 alpha=90.00 beta=90.00 gamma=120.00
Space group P-31m (No. 162)
Inequivalent atoms, fractional coordinates:
K 0.3333 0.6667 0.0000 [2 per cell]
Pa 0.0000 0.0000 0.5000 [1 per cell]
Zn 0.3333 0.6667 0.5000 [2 per cell]
O 0.0000 0.3380 0.6767 [6 per cell]


Entry 11:
Diffraction record for Li2CeIn2. The powder XRD pattern is calculated, not measured: it uses a DFT-relaxed cell (PBE, Alexandria) and Cu Kα X-rays.
Kinematic intensities with the Lorentz-polarization factor, no thermal factor.

Principal peaks in the range 10 to 90 degrees two-theta, low angle first:
| two_theta | intensity | index |
| --- | --- | --- |
| 23.80 | 100 | 0 1 2 |
| 31.72 | 58 | 0 1 5 |
| 38.59 | 55 | 1 1 0 |
| 39.00 | 49 | 1 0 7 |
| 56.03 | 21 | 0 2 7 |
| 70.10 | 28 | 2 1 7 |

Atomic structure:
Unit cell a=4.6664 b=4.6664 c=19.6968 alpha=90.00 beta=90.00 gamma=120.00
Space group R-3m (No. 166, hexagonal axes)
Inequivalent atoms, fractional coordinates:
Li 0.0000 0.0000 0.1871 [6 per cell]
Ce 0.0000 0.0000 0.0000 [3 per cell]
In 0.0000 0.0000 0.4272 [6 per cell]


Entry 12:
Diffraction record for BaHIO. The powder XRD pattern is calculated, not measured: it uses a DFT-relaxed cell (PBE, Alexandria) and Cu Kα X-rays.
Kinematic intensities with the Lorentz-polarization factor, no thermal factor.

Principal peaks in the range 10 to 90 degrees two-theta, low angle first:
| two_theta | intensity | index |
| --- | --- | --- |
| 23.79 | 71 | 1 1 1 |
| 25.71 | 47 | 1 0 3 |
| 27.36 | 100 | 1 1 2 |
| 30.52 | 52 | 0 1 3 |
| 30.64 | 78 | 2 1 1 |
| 50.59 | 38 | 3 1 4 |

Atomic structure:
Unit cell a=8.082 b=4.535 c=11.508 alpha=90.00 beta=90.00 gamma=90.00
Space group Pnma (No. 62)
Inequivalent atoms, fractional coordinates:
Ba 0.186 0.250 0.083 [4 per cell]
H 0.215 0.750 0.907 [4 per cell]
I 0.036 0.750 0.321 [4 per cell]
O 0.133 0.750 0.969 [4 per cell]


Entry 13:
Diffraction record for MgTl5Br8. The powder XRD pattern is calculated, not measured: it uses a DFT-relaxed cell (PBE, Alexandria) and Cu Kα X-rays.
Kinematic intensities with the Lorentz-polarization factor, no thermal factor.

Principal peaks in the range 10 to 90 degrees two-theta, low angle first:
| two_theta | intensity | index |
| --- | --- | --- |
| 15.72 | 42 | 2 0 0 |
| 21.50 | 56 | 1 1 2 |
| 24.26 | 33 | 2 0 2 |
| 31.18 | 100 | 3 1 2 |
| 31.75 | 43 | 4 0 0 |
| 38.67 | 37 | 3 3 2 |

Atomic structure:
Unit cell a=11.273 b=11.273 c=9.665 alpha=90.00 beta=90.00 gamma=90.00
Space group I-4 (No. 82)
Inequivalent atoms, fractional coordinates:
Mg 0.000 0.000 0.000 [2 per cell]
Tl 0.000 0.500 0.250 [2 per cell]
Tl 0.243 0.747 0.629 [8 per cell]
Br 0.042 0.723 0.389 [8 per cell]
Br 0.043 0.806 0.878 [8 per cell]